Entry 1:
The following is a simulated powder XRD pattern of Rb6PaCl12. It was derived from a cell relaxed with GGA-PBE, using Cu Kα X-rays.
Kinematic intensities with the Lorentz-polarization factor, no thermal factor.

Cell and atoms:
```
data_Rb6PaCl12
_chemical_formula_sum 'Rb18 Pa3 Cl36'
_cell_length_a 14.1895
_cell_length_b 14.1895
_cell_length_c 13.9878
_cell_angle_alpha 90.00
_cell_angle_beta 90.00
_cell_angle_gamma 120.00
_space_group_name_H-M_alt 'R -3'
_space_group_IT_number 148
_space_group_name_Hall '-R 3'
loop_
_atom_site_label
_atom_site_type_symbol
_atom_site_fract_x
_atom_site_fract_y
_atom_site_fract_z
_atom_site_occupancy
Rb1 Rb 0.0415 0.2476 0.1304 1
Pa1 Pa 0.0000 0.0000 0.5000 1
Cl1 Cl 0.0382 0.2383 0.8979 1
Cl2 Cl 0.0511 0.1675 0.3956 1
```

Main lines, by angle (10° ≤ 2θ ≤ 80°):
- 14.57°, d 6.078, rel. 31, (0 1 2)
- 15.75°, d 5.625, rel. 27, (0 2 1)
- 19.03°, d 4.663, rel. 25, (0 0 3)
- 20.14°, d 4.408, rel. 100, (2 1 1)
- 22.99°, d 3.869, rel. 15, (3 -2 2)
- 29.15°, d 3.064, rel. 13, (3 1 2)
- 32.04°, d 2.794, rel. 44, (2 1 4)
- 33.42°, d 2.682, rel. 42, (1 4 0)
- 38.74°, d 2.325, rel. 33, (5 -1 3)
- 52.54°, d 1.742, rel. 13, (3 5 1)



Entry 2:
The following is a simulated powder XRD pattern of Sr2CaCd3. It was derived from a cell relaxed with GGA-PBE, using Cu Kα X-rays.
Kinematic intensities with the Lorentz-polarization factor, no thermal factor.

Cell and atoms:
```
data_Sr2CaCd3
_chemical_formula_sum 'Sr2 Ca1 Cd3'
_cell_length_a 4.0011
_cell_length_b 4.0011
_cell_length_c 11.8719
_cell_angle_alpha 90.00
_cell_angle_beta 90.00
_cell_angle_gamma 90.00
_space_group_name_H-M_alt 'P 4/m m m'
_space_group_IT_number 123
_space_group_name_Hall '-P 4 2'
loop_
_atom_site_label
_atom_site_type_symbol
_atom_site_fract_x
_atom_site_fract_y
_atom_site_fract_z
_atom_site_occupancy
Sr1 Sr 0.0000 0.0000 0.1737 1
Ca1 Ca 0.0000 0.0000 0.5000 1
Cd1 Cd 0.5000 0.5000 0.0000 1
Cd2 Cd 0.5000 0.5000 0.3501 1
```

Main lines, by angle (10° ≤ 2θ ≤ 80°):
- 22.22°, d 4.001, rel. 6, (1 0 0)
- 31.62°, d 2.829, rel. 53, (1 1 0)
- 31.80°, d 2.814, rel. 100, (1 0 3)
- 45.33°, d 2.001, rel. 19, (2 0 0)
- 45.86°, d 1.979, rel. 8, (0 0 6)
- 56.44°, d 1.630, rel. 37, (2 1 3)
- 56.78°, d 1.621, rel. 16, (1 1 6)
- 66.05°, d 1.415, rel. 6, (2 2 0)
- 66.46°, d 1.407, rel. 10, (2 0 6)
- 75.12°, d 1.265, rel. 16, (3 1 0)



Entry 3:
The following is a simulated powder XRD pattern of CsSn4Se5. It was derived from a cell relaxed with GGA-PBE, using Cu Kα X-rays.
Kinematic intensities with the Lorentz-polarization factor, no thermal factor.

Cell and atoms:
```
data_CsSn4Se5
_chemical_formula_sum 'Cs2 Sn8 Se10'
_cell_length_a 14.0528
_cell_length_b 4.2780
_cell_length_c 12.0757
_cell_angle_alpha 90.00
_cell_angle_beta 118.60
_cell_angle_gamma 90.00
_space_group_name_H-M_alt 'C 1 2/m 1'
_space_group_IT_number 12
loop_
_space_group_symop_operation_xyz
'x,y,z'
'-x,-y,-z'
'-x,y,-z'
'x,-y,z'
'x+1/2,y+1/2,z'
'-x+1/2,-y+1/2,-z'
'-x+1/2,y+1/2,-z'
'x+1/2,-y+1/2,z'
loop_
_atom_site_label
_atom_site_type_symbol
_atom_site_fract_x
_atom_site_fract_y
_atom_site_fract_z
_atom_site_occupancy
Cs1 Cs 0.0000 0.0000 0.0000 1
Sn1 Sn 0.1073 0.5000 0.4109 1
Sn2 Sn 0.1801 0.0000 0.7519 1
Se1 Se 0.0000 0.0000 0.5000 1
Se2 Se 0.0931 0.5000 0.8274 1
Se3 Se 0.1991 0.0000 0.3335 1
```

Main lines, by angle (10° ≤ 2θ ≤ 80°):
- 22.21°, d 4.002, rel. 10, (2 0 -3)
- 26.92°, d 3.312, rel. 47, (2 0 2)
- 28.99°, d 3.080, rel. 100, (3 1 -2)
- 32.02°, d 2.796, rel. 13, (3 1 -3)
- 34.78°, d 2.580, rel. 11, (2 0 3)
- 37.55°, d 2.395, rel. 22, (1 1 -4)
- 40.67°, d 2.219, rel. 13, (6 0 -4)
- 42.27°, d 2.138, rel. 57, (0 2 0)
- 45.06°, d 2.012, rel. 17, (1 1 -5)
- 50.81°, d 1.797, rel. 17, (2 2 2)